Record 1
The following is a theoretical XRD peak list of PaTlF5. It was derived from a PBE-relaxed structure, using copper Kα.
Kinematic intensities with the Lorentz-polarization factor, no thermal factor.

Cell and atoms:
```
data_PaTlF5
_symmetry_space_group_name_H-M 'I m m m'
_symmetry_Int_Tables_number 71
_symmetry_space_group_name_Hall '-I 2 2'
_cell_length_a 4.631
_cell_length_b 7.951
_cell_length_c 9.777
_cell_angle_alpha 90.00
_cell_angle_beta 90.00
_cell_angle_gamma 90.00
loop_
_atom_site_label
_atom_site_type_symbol
_atom_site_fract_x
_atom_site_fract_y
_atom_site_fract_z
Pa1 Pa 0.000 0.000 0.000
Tl1 Tl 0.000 0.000 0.500
F1 F 0.000 0.000 0.220
F2 F 0.000 0.274 0.000
F3 F 0.000 0.500 0.500
```

Top 10 peaks for 10° ≤ 2θ ≤ 90°, most intense first:
2θ (°)  d (Å)  I/Imax  index
22.2  4.002  100  1 1 0
18.1  4.889  84  0 0 2
28.8  3.097  71  1 1 2
43.4  2.085  51  0 2 4
22.4  3.975  51  0 2 0
28.9  3.084  37  0 2 2
43.5  2.081  28  1 3 2
39.2  2.300  26  1 3 0
61.5  1.509  24  2 4 0
36.8  2.444  19  0 0 4

=====

Record 2
The following is a theoretical XRD peak list of La3Ga4Cl. It was derived from a PBE-relaxed structure, using copper Kα.
Kinematic intensities with the Lorentz-polarization factor, no thermal factor.

Cell and atoms:
```
data_La3Ga4Cl
_symmetry_space_group_name_H-M 'I 4/m c m'
_symmetry_Int_Tables_number 140
_symmetry_space_group_name_Hall '-I 4 2c'
_cell_length_a 8.224
_cell_length_b 8.224
_cell_length_c 11.405
_cell_angle_alpha 90.00
_cell_angle_beta 90.00
_cell_angle_gamma 90.00
loop_
_atom_site_label
_atom_site_type_symbol
_atom_site_fract_x
_atom_site_fract_y
_atom_site_fract_z
La1 La 0.000 0.000 0.250
La2 La 0.161 0.339 0.000
Ga1 Ga 0.143 0.357 0.302
Cl1 Cl 0.000 0.000 0.000
```

Top 10 peaks for 10° ≤ 2θ ≤ 90°, most intense first:
2θ (°)  d (Å)  I/Imax  index
33.9  2.643  100  2 1 3
34.5  2.601  71  3 1 0
47.3  1.921  32  3 1 4
31.4  2.851  27  0 0 4
25.4  3.500  25  2 1 1
65.9  1.417  19  5 2 3
26.7  3.335  17  2 0 2
62.3  1.490  15  2 1 7
51.8  1.766  13  4 1 3
30.8  2.908  12  2 2 0

=====

Record 3
The following is a theoretical XRD peak list of PmTm3Ir2. It was derived from a PBE-relaxed structure, using copper Kα.
Kinematic intensities with the Lorentz-polarization factor, no thermal factor.

Cell and atoms:
```
data_PmTm3Ir2
_symmetry_space_group_name_H-M 'P m c 21'
_symmetry_Int_Tables_number 26
_symmetry_space_group_name_Hall 'P 2c -2'
_cell_length_a 4.575
_cell_length_b 8.743
_cell_length_c 7.229
_cell_angle_alpha 90.00
_cell_angle_beta 90.00
_cell_angle_gamma 90.00
loop_
_atom_site_label
_atom_site_type_symbol
_atom_site_fract_x
_atom_site_fract_y
_atom_site_fract_z
Pm1 Pm 0.000 0.084 0.000
Tm1 Tm 0.000 0.332 0.632
Tm2 Tm 0.500 0.178 0.349
Tm3 Tm 0.500 0.415 0.978
Ir1 Ir 0.000 0.349 0.238
Ir2 Ir 0.500 0.159 0.740
```

Top 10 peaks for 10° ≤ 2θ ≤ 90°, most intense first:
2θ (°)  d (Å)  I/Imax  index
33.2  2.699  100  1 1 2
30.9  2.896  75  1 2 1
36.6  2.458  58  1 3 0
39.4  2.287  52  2 0 0
69.6  1.352  28  0 6 2
44.6  2.032  27  1 3 2
31.5  2.836  26  1 0 2
43.7  2.071  25  1 1 3
42.9  2.110  22  0 2 3
38.8  2.324  21  0 1 3

=====

Record 4
The following is a theoretical XRD peak list of U2P3. It was derived from a PBE-relaxed structure, using copper Kα.
Kinematic intensities with the Lorentz-polarization factor, no thermal factor.

Cell and atoms:
```
data_U2P3
_symmetry_space_group_name_H-M 'I b a m'
_symmetry_Int_Tables_number 72
_symmetry_space_group_name_Hall '-I 2 2c'
_cell_length_a 7.397
_cell_length_b 10.772
_cell_length_c 5.390
_cell_angle_alpha 90.00
_cell_angle_beta 90.00
_cell_angle_gamma 90.00
loop_
_atom_site_label
_atom_site_type_symbol
_atom_site_fract_x
_atom_site_fract_y
_atom_site_fract_z
U1 U 0.218 0.117 0.000
P1 P 0.000 0.500 0.250
P2 P 0.153 0.141 0.500
```

Top 10 peaks for 10° ≤ 2θ ≤ 90°, most intense first:
2θ (°)  d (Å)  I/Imax  index
26.3  3.387  100  1 2 1
41.5  2.177  43  2 0 2
33.3  2.694  42  0 0 2
24.1  3.698  34  2 0 0
43.7  2.070  28  3 2 1
55.3  1.660  27  1 2 3
47.7  1.905  19  0 4 2
54.2  1.693  15  2 4 2
66.7  1.402  15  3 2 3
84.6  1.145  11  2 4 4

=====

Record 5
The following is a theoretical XRD peak list of YHo5Th2. It was derived from a PBE-relaxed structure, using copper Kα.
Kinematic intensities with the Lorentz-polarization factor, no thermal factor.

Cell and atoms:
```
data_YHo5Th2
_symmetry_space_group_name_H-M 'I m m a'
_symmetry_Int_Tables_number 74
_symmetry_space_group_name_Hall '-I 2b 2'
_cell_length_a 6.526
_cell_length_b 13.263
_cell_length_c 11.895
_cell_angle_alpha 90.00
_cell_angle_beta 90.00
_cell_angle_gamma 90.00
loop_
_atom_site_label
_atom_site_type_symbol
_atom_site_fract_x
_atom_site_fract_y
_atom_site_fract_z
Y1 Y 0.000 0.250 0.206
Ho1 Ho 0.000 0.118 0.968
Ho2 Ho 0.000 0.250 0.488
Ho3 Ho 0.250 0.015 0.250
Th1 Th 0.000 0.000 0.500
Th2 Th 0.250 0.250 0.750
```

Top 10 peaks for 10° ≤ 2θ ≤ 90°, most intense first:
2θ (°)  d (Å)  I/Imax  index
31.2  2.864  100  2 0 2
30.0  2.974  35  0 0 4
38.0  2.370  27  1 4 3
26.9  3.316  15  0 4 0
35.0  2.564  14  2 3 1
65.0  1.434  12  2 8 2
30.9  2.896  12  0 4 2
41.7  2.166  12  2 4 2
40.8  2.214  11  0 4 4
50.8  1.798  11  3 4 1

=====

Record 6
The following is a theoretical XRD peak list of SrCa2. It was derived from a PBE-relaxed structure, using copper Kα.
Kinematic intensities with the Lorentz-polarization factor, no thermal factor.

Cell and atoms:
```
data_SrCa2
_symmetry_space_group_name_H-M 'R 3 2'
_symmetry_Int_Tables_number 155
_symmetry_space_group_name_Hall 'R 3 2"'
_cell_length_a 6.9509
_cell_length_b 6.9509
_cell_length_c 19.8830
_cell_angle_alpha 90.00
_cell_angle_beta 90.00
_cell_angle_gamma 120.00
loop_
_atom_site_label
_atom_site_type_symbol
_atom_site_fract_x
_atom_site_fract_y
_atom_site_fract_z
Sr1 Sr 0.0000 0.0000 0.1651
Ca1 Ca 0.0000 0.0000 0.5000
Ca2 Ca 0.0000 0.3388 0.0000
```

Top 10 peaks for 10° ≤ 2θ ≤ 90°, most intense first:
2θ (°)  d (Å)  I/Imax  index
29.0  3.078  100  1 1 3
26.9  3.314  27  0 0 6
25.6  3.475  27  1 1 0
48.8  1.864  22  1 1 9
53.4  1.716  22  3 0 6
37.5  2.398  20  1 1 6
45.2  2.007  18  3 0 0
54.6  1.681  16  2 2 3
73.5  1.289  12  4 1 3
13.4  6.628  8  0 0 3

=====

Record 7
The following is a theoretical XRD peak list of Nd12MgCd6. It was derived from a PBE-relaxed structure, using copper Kα.
Kinematic intensities with the Lorentz-polarization factor, no thermal factor.

Cell and atoms:
```
data_Nd12MgCd6
_symmetry_space_group_name_H-M 'R -3'
_symmetry_Int_Tables_number 148
_symmetry_space_group_name_Hall '-R 3'
_cell_length_a 15.2001
_cell_length_b 15.2001
_cell_length_c 8.5075
_cell_angle_alpha 90.00
_cell_angle_beta 90.00
_cell_angle_gamma 120.00
loop_
_atom_site_label
_atom_site_type_symbol
_atom_site_fract_x
_atom_site_fract_y
_atom_site_fract_z
Nd1 Nd 0.0145 0.1405 0.1719
Nd2 Nd 0.0624 0.5669 0.1744
Mg1 Mg 0.0000 0.0000 0.5000
Cd1 Cd 0.0326 0.2761 0.8268
```

Top 10 peaks for 10° ≤ 2θ ≤ 90°, most intense first:
2θ (°)  d (Å)  I/Imax  index
31.4  2.846  100  3 2 1
36.5  2.462  66  5 -3 2
62.5  1.486  38  1 7 3
31.5  2.836  33  0 0 3
52.6  1.739  23  3 2 4
52.5  1.744  22  1 7 0
62.7  1.482  13  5 -3 5
65.6  1.423  11  6 4 2
85.9  1.131  9  11 1 1
89.0  1.100  9  8 -1 6